Structure and calculated powder diffractogram of Na22In5O15 (a cell relaxed with PBE; λ = 1.5418 Å (Cu Kα)).
Intensities are scaled so that the largest is 100.

Main lines, in order of rising 2θ (5 to 70 degrees two-theta):
hkl  2θ (°)  I/Imax
0 2 0  11.16  72
2 2 -1  19.39  100
2 4 -1  27.54  31
2 4 0  29.80  28
4 0 -2  31.94  22
0 6 0  33.89  29
3 3 -3  33.99  23
1 7 -1  41.00  21
0 8 0  45.72  27
0 0 4  45.87  25

Crystal structure
```
data_Na22In5O15
_symmetry_space_group_name_H-M 'C 1 m 1'
_symmetry_Int_Tables_number 8
_cell_length_a 11.2058
_cell_length_b 15.8853
_cell_length_c 9.6764
_cell_angle_alpha 90.00
_cell_angle_beta 125.16
_cell_angle_gamma 90.00
loop_
_symmetry_equiv_pos_as_xyz
'x,y,z'
'x,-y,z'
'x+1/2,y+1/2,z'
'x+1/2,-y+1/2,z'
loop_
_atom_site_label
_atom_site_type_symbol
_atom_site_fract_x
_atom_site_fract_y
_atom_site_fract_z
Na1 Na 0.0000 0.0000 0.0000
Na2 Na 0.0035 0.0000 0.5150
Na3 Na 0.0445 0.1385 0.7545
Na4 Na 0.0628 0.3920 0.1744
Na5 Na 0.1227 0.1091 0.3020
Na6 Na 0.1677 0.2736 0.4580
Na7 Na 0.2355 0.5000 0.4782
Na8 Na 0.2374 0.0000 0.9581
Na9 Na 0.2729 0.3884 0.7461
Na10 Na 0.2997 0.1494 0.1761
Na11 Na 0.3451 0.3498 0.2598
Na12 Na 0.4439 0.2204 0.5263
Na13 Na 0.4595 0.2704 0.0160
In1 In 0.2464 0.5000 0.0262
In2 In 0.3049 0.1442 0.7283
In3 In 0.4427 0.0000 0.4358
In4 In 0.4567 0.0000 0.7395
O1 O 0.0536 0.3937 0.4321
O2 O 0.0758 0.1513 0.5236
O3 O 0.2021 0.2443 0.2590
O4 O 0.2345 0.0000 0.2112
O5 O 0.2485 0.5000 0.2506
O6 O 0.3159 0.1365 0.9551
O7 O 0.3801 0.2661 0.7268
O8 O 0.3817 0.3978 0.0531
O9 O 0.4548 0.5000 0.7386
```